Record 1
Ce2MgSi4: theoretical powder diffraction line list (a wavelength of 1.5418 Å), based on a structure optimized by DFT (PBE).

Crystal structure
```
data_Ce2MgSi4
_chemical_formula_sum 'Ce8 Mg4 Si16'
_symmetry_space_group_name_H-M 'P 1'
_symmetry_Int_Tables_number 1
_symmetry_space_group_name_Hall 'P 1'
_cell_length_a 17.7926
_cell_length_b 17.7926
_cell_length_c 17.7926
_cell_angle_alpha 160.75
_cell_angle_beta 160.75
_cell_angle_gamma 27.36
loop_
_atom_site_label
_atom_site_type_symbol
_atom_site_fract_x
_atom_site_fract_y
_atom_site_fract_z
Ce1 Ce 0.1722 0.1759 0.5037
Ce2 Ce 0.1722 0.6685 0.9963
Ce3 Ce 0.1759 0.1722 0.0037
Ce4 Ce 0.3315 0.8278 0.5037
Ce5 Ce 0.6685 0.1722 0.4963
Ce6 Ce 0.8241 0.8278 0.9963
Ce7 Ce 0.8278 0.3315 0.0037
Ce8 Ce 0.8278 0.8241 0.4963
Mg1 Mg 0.0000 0.5000 0.5000
Mg2 Mg 0.5000 0.0000 0.0000
Mg3 Mg 0.5000 0.5000 0.0000
Mg4 Mg 0.5000 0.5000 0.5000
Si1 Si 0.1178 0.6389 0.4789
Si2 Si 0.1581 0.7067 0.4514
Si3 Si 0.2446 0.2933 0.9514
Si4 Si 0.2933 0.2446 0.4514
Si5 Si 0.2933 0.8419 0.0486
Si6 Si 0.3401 0.3611 0.9789
Si7 Si 0.3611 0.3401 0.4789
Si8 Si 0.3611 0.8822 0.0211
Si9 Si 0.6389 0.1178 0.9789
Si10 Si 0.6389 0.6599 0.5211
Si11 Si 0.6599 0.6389 0.0211
Si12 Si 0.7067 0.1581 0.9514
Si13 Si 0.7067 0.7554 0.5486
Si14 Si 0.7554 0.7067 0.0486
Si15 Si 0.8419 0.2933 0.5486
Si16 Si 0.8822 0.3611 0.5211
```

Top 8 peaks for 15° ≤ 2θ ≤ 90°, low angle first:
- 16.8 deg, 5.288 Å, I 50
- 20.6 deg, 4.322 Å, I 21
- 27.6 deg, 3.228 Å, I 44
- 30.5 deg, 2.932 Å, I 42
- 33.9 deg, 2.644 Å, I 100
- 34.6 deg, 2.593 Å, I 23
- 41.3 deg, 2.188 Å, I 27
- 43.0 deg, 2.104 Å, I 39

---

Record 2
BaHIO: theoretical powder diffraction line list (a wavelength of 1.5418 Å), based on a structure optimized by DFT (PBE).

Crystal structure
```
data_BaHIO
_chemical_formula_sum 'Ba4 H4 I4 O4'
_symmetry_space_group_name_H-M 'P 1'
_symmetry_Int_Tables_number 1
_symmetry_space_group_name_Hall 'P 1'
_cell_length_a 8.1353
_cell_length_b 4.5592
_cell_length_c 11.2234
_cell_angle_alpha 90.00
_cell_angle_beta 90.00
_cell_angle_gamma 90.00
loop_
_atom_site_label
_atom_site_type_symbol
_atom_site_fract_x
_atom_site_fract_y
_atom_site_fract_z
Ba1 Ba 0.1893 0.2500 0.0810
Ba2 Ba 0.3107 0.7500 0.5810
Ba3 Ba 0.6893 0.2500 0.4190
Ba4 Ba 0.8107 0.7500 0.9190
H1 H 0.2103 0.7500 0.9002
H2 H 0.2897 0.2500 0.4002
H3 H 0.7103 0.7500 0.5998
H4 H 0.7897 0.2500 0.0998
I1 I 0.0289 0.7500 0.3188
I2 I 0.4711 0.2500 0.8188
I3 I 0.5289 0.7500 0.1812
I4 I 0.9711 0.2500 0.6812
O1 O 0.1309 0.7500 0.9657
O2 O 0.3691 0.2500 0.4657
O3 O 0.6309 0.7500 0.5343
O4 O 0.8691 0.2500 0.0343
```

Top 8 peaks for 15° ≤ 2θ ≤ 90°, low angle first:
- 23.7 deg, 3.749 Å, I 75
- 26.2 deg, 3.399 Å, I 48
- 27.1 deg, 3.293 Å, I 43
- 27.5 deg, 3.245 Å, I 100
- 30.5 deg, 2.930 Å, I 91
- 30.9 deg, 2.892 Å, I 58
- 34.0 deg, 2.636 Å, I 38
- 50.9 deg, 1.793 Å, I 44

---

Record 3
VCo3: theoretical powder diffraction line list (a wavelength of 1.5418 Å), based on a structure optimized by DFT (PBE).

Crystal structure
```
data_VCo3
_chemical_formula_sum 'V3 Co9'
_symmetry_space_group_name_H-M 'P 1'
_symmetry_Int_Tables_number 1
_symmetry_space_group_name_Hall 'P 1'
_cell_length_a 2.5300
_cell_length_b 2.5300
_cell_length_c 24.6868
_cell_angle_alpha 90.00
_cell_angle_beta 90.00
_cell_angle_gamma 120.00
loop_
_atom_site_label
_atom_site_type_symbol
_atom_site_fract_x
_atom_site_fract_y
_atom_site_fract_z
V1 V 0.0000 0.0000 0.0000
V2 V 0.3333 0.6667 0.6667
V3 V 0.6667 0.3333 0.3333
Co1 Co 0.0000 0.0000 0.2478
Co2 Co 0.0000 0.0000 0.5000
Co3 Co 0.0000 0.0000 0.7522
Co4 Co 0.3333 0.6667 0.1667
Co5 Co 0.3333 0.6667 0.4189
Co6 Co 0.3333 0.6667 0.9145
Co7 Co 0.6667 0.3333 0.0855
Co8 Co 0.6667 0.3333 0.5811
Co9 Co 0.6667 0.3333 0.8333
```

Top 7 peaks for 15° ≤ 2θ ≤ 90°, low angle first:
- 43.8 deg, 2.065 Å, I 100
- 44.0 deg, 2.057 Å, I 33
- 48.9 deg, 1.861 Å, I 1
- 51.1 deg, 1.787 Å, I 61
- 58.9 deg, 1.568 Å, I 1
- 75.1 deg, 1.265 Å, I 18
- 75.3 deg, 1.262 Å, I 17

---

Record 4
Nd2Be2SiO7: theoretical powder diffraction line list (a wavelength of 1.5418 Å), based on a structure optimized by DFT (PBE).

Crystal structure
```
data_Nd2Be2SiO7
_chemical_formula_sum 'Nd4 Be4 Si2 O14'
_symmetry_space_group_name_H-M 'P 1'
_symmetry_Int_Tables_number 1
_symmetry_space_group_name_Hall 'P 1'
_cell_length_a 7.5182
_cell_length_b 7.5182
_cell_length_c 4.9063
_cell_angle_alpha 90.00
_cell_angle_beta 90.00
_cell_angle_gamma 90.00
loop_
_atom_site_label
_atom_site_type_symbol
_atom_site_fract_x
_atom_site_fract_y
_atom_site_fract_z
Nd1 Nd 0.1605 0.3395 0.4940
Nd2 Nd 0.3395 0.8395 0.5060
Nd3 Nd 0.6605 0.1605 0.5060
Nd4 Nd 0.8395 0.6605 0.4940
Be1 Be 0.1348 0.6348 0.9643
Be2 Be 0.3652 0.1348 0.0357
Be3 Be 0.6348 0.8652 0.0357
Be4 Be 0.8652 0.3652 0.9643
Si1 Si 0.0000 0.0000 0.0000
Si2 Si 0.5000 0.5000 0.0000
O1 O 0.0000 0.5000 0.8295
O2 O 0.0773 0.8357 0.8098
O3 O 0.1406 0.6406 0.2877
O4 O 0.1643 0.0773 0.1902
O5 O 0.3357 0.5773 0.8098
O6 O 0.3594 0.1406 0.7123
O7 O 0.4227 0.3357 0.1902
O8 O 0.5000 0.0000 0.1705
O9 O 0.5773 0.6643 0.1902
O10 O 0.6406 0.8594 0.7123
O11 O 0.6643 0.4227 0.8098
O12 O 0.8357 0.9227 0.1902
O13 O 0.8594 0.3594 0.2877
O14 O 0.9227 0.1643 0.8098
```

Top 8 peaks for 15° ≤ 2θ ≤ 90°, low angle first:
- 18.1 deg, 4.906 Å, I 47
- 24.7 deg, 3.606 Å, I 25
- 26.5 deg, 3.362 Å, I 48
- 29.9 deg, 2.984 Å, I 32
- 32.3 deg, 2.774 Å, I 100
- 45.8 deg, 1.982 Å, I 42
- 53.7 deg, 1.708 Å, I 33
- 55.1 deg, 1.667 Å, I 19